(1)
Starting from the PBE geometry in Alexandria, the powder X-ray diffraction pattern of BaScTi2Ge was computed for Cu Kα (λ = 1.5418 Å).
Neutral-atom scattering factors, no anomalous dispersion.

Atomic structure:
```
data_BaScTi2Ge
_chemical_formula_sum 'Ba1 Sc1 Ti2 Ge1'
_symmetry_space_group_name_H-M 'P 1'
_symmetry_Int_Tables_number 1
_cell_length_a 4.987
_cell_length_b 4.987
_cell_length_c 5.338
_cell_angle_alpha 90.00
_cell_angle_beta 90.00
_cell_angle_gamma 90.00
loop_
_symmetry_equiv_pos_as_xyz
'x,y,z'
loop_
_atom_site_label
_atom_site_type_symbol
_atom_site_fract_x
_atom_site_fract_y
_atom_site_fract_z
Ba1 Ba 0.000 0.000 0.000
Sc1 Sc 0.500 0.500 0.500
Ti1 Ti 0.000 0.500 0.500
Ti2 Ti 0.500 0.000 0.500
Ge1 Ge 0.500 0.500 0.000
```

The 10 most intense peaks (2θ = 15–90°), by angle:
- 24.43 deg, I 272, (1 0 1)
- 25.25 deg, I 292, (1 1 0)
- 30.38 deg, I 1000, (1 1 1)
- 33.58 deg, I 347, (0 0 2)
- 36.02 deg, I 570, (2 0 0)
- 50.06 deg, I 427, (2 0 2)
- 51.85 deg, I 191, (2 2 0)
- 58.07 deg, I 174, (1 1 3)
- 61.29 deg, I 256, (3 1 1)
- 63.20 deg, I 205, (2 2 2)

---

(2)
Starting from the PBE geometry in Alexandria, the powder X-ray diffraction pattern of BaGeSe2 was computed for Cu Kα (λ = 1.5418 Å).
Neutral-atom scattering factors, no anomalous dispersion.

Atomic structure:
```
data_BaGeSe2
_chemical_formula_sum 'Ba2 Ge2 Se4'
_symmetry_space_group_name_H-M 'P 1'
_symmetry_Int_Tables_number 1
_cell_length_a 5.193
_cell_length_b 7.099
_cell_length_c 8.004
_cell_angle_alpha 65.87
_cell_angle_beta 82.74
_cell_angle_gamma 79.55
loop_
_symmetry_equiv_pos_as_xyz
'x,y,z'
loop_
_atom_site_label
_atom_site_type_symbol
_atom_site_fract_x
_atom_site_fract_y
_atom_site_fract_z
Ba1 Ba 0.000 0.000 0.000
Ba2 Ba 0.472 0.624 0.648
Ge1 Ge 0.437 0.274 0.372
Ge2 Ge 0.678 0.582 0.161
Se1 Se 0.020 0.522 0.383
Se2 Se 0.436 0.013 0.256
Se3 Se 0.513 0.095 0.697
Se4 Se 0.948 0.494 0.920
```

The 10 most intense peaks (2θ = 15–90°), by angle:
- 20.67 deg, I 511, (1 0 1)
- 21.83 deg, I 662, (1 0 -1)
- 25.55 deg, I 334, (0 2 1)
- 27.83 deg, I 589, (0 2 0)
- 29.27 deg, I 667, (1 0 2)
- 30.74 deg, I 300, (1 2 0)
- 30.93 deg, I 1000, (1 2 2)
- 35.20 deg, I 543, (2 0 0)
- 36.74 deg, I 413, (-1 2 2)
- 36.99 deg, I 423, (1 1 -2)